Structure and computed powder X-ray diffraction pattern of LiVCSO7 (a structure optimized by DFT (GGA+U); Cu Kα X-rays).
No peak broadening, texture or thermal motion is included.

Cell and atoms:
a = 5.2733 Å, b = 6.4147 Å, c = 9.7718 Å
α = 90.00°, β = 92.82°, γ = 90.00°
Space group P2_1 (No. 4)
Symmetry-distinct sites (fractional):
Li  0.2366  0.0000  0.1039 x2
V  0.2829  0.6263  0.6521 x2
C  0.2353  0.6733  0.8985 x2
S  0.2261  0.1274  0.5702 x2
O  0.0450  0.6307  0.8070 x2
O  0.0466  0.6306  0.4745 x2
O  0.2013  0.7352  0.0168 x2
O  0.2819  0.9431  0.6578 x2
O  0.2857  0.3111  0.6590 x2
O  0.3827  0.1273  0.4483 x2
O  0.4577  0.6465  0.8441 x2

Most intense lines, 10 to 80 degrees two-theta, in order of falling intensity:
d 5.361, 16.54°, intensity 100, (0 1 1)
d 4.543, 19.54°, intensity 93, (1 0 1)
d 3.207, 27.82°, intensity 88, (0 2 0)
d 4.733, 18.75°, intensity 86, (1 0 -1)
d 3.671, 24.25°, intensity 60, (1 0 -2)
d 3.707, 24.00°, intensity 38, (1 1 1)
d 2.496, 35.99°, intensity 27, (1 1 3)
d 3.495, 25.49°, intensity 26, (1 0 2)